Diffraction record for Li4Ti2Cu3Sb3O16. The XRD peak list is simulated, not measured: it uses DFT lattice parameters and positions (PBE) and copper Kα.
Lines closer than 0.1° are merged.

Peak list (6 most intense, 2θ = 5–70°, by angle)
d (Å), Rel. int.
4.909, 100
4.849, 31
4.710, 37
4.590, 30
2.638, 31
2.528, 30

Crystal structure
Lattice parameters (Å, degrees): 6.1811 6.1811 9.8377 93.21 93.21 58.67
Atoms (fractional coordinates):
Li (0.0000, 0.0000, 0.0000)
Li (0.0098, 0.0098, 0.5231)
Li (0.3424, 0.3424, 0.4269)
Li (0.6868, 0.6868, 0.9142)
Ti (0.3803, 0.3803, 0.9877)
Ti (0.6972, 0.6972, 0.5266)
Cu (0.1958, 0.6833, 0.7288)
Cu (0.6833, 0.1958, 0.7288)
Cu (0.8475, 0.8475, 0.2334)
Sb (0.1930, 0.1930, 0.7400)
Sb (0.3531, 0.8488, 0.2380)
Sb (0.8488, 0.3531, 0.2380)
O (0.0165, 0.0165, 0.3343)
O (0.0237, 0.0237, 0.8143)
O (0.0560, 0.4814, 0.8801)
O (0.1684, 0.1684, 0.1297)
O (0.2050, 0.6889, 0.1121)
O (0.3492, 0.3492, 0.6368)
O (0.3650, 0.8735, 0.6135)
O (0.4814, 0.0560, 0.8801)
O (0.5039, 0.5039, 0.8752)
O (0.5151, 0.9739, 0.3706)
O (0.5292, 0.5292, 0.3535)
O (0.6785, 0.6785, 0.1295)
O (0.6889, 0.2050, 0.1121)
O (0.8491, 0.8491, 0.6043)
O (0.8735, 0.3650, 0.6135)
O (0.9739, 0.5151, 0.3706)


Diffraction record for LuSi2Ru2. The XRD peak list is simulated, not measured: it uses DFT lattice parameters and positions (PBE) and copper Kα.
Lines closer than 0.1° are merged.

Peak list (6 most intense, 2θ = 5–70°, by angle)
d (Å), Rel. int.
3.814, 37
2.509, 34
2.500, 100
2.086, 40
1.604, 17
1.562, 17

Crystal structure
Lattice parameters (Å, degrees): 5.5582 5.5582 5.5582 135.92 135.92 64.10
Atoms (fractional coordinates):
Lu (0.0000, 0.0000, 0.0000)
Si (0.3698, 0.3698, 0.0000)
Si (0.6302, 0.6302, 0.0000)
Ru (0.2500, 0.7500, 0.5000)
Ru (0.7500, 0.2500, 0.5000)


Diffraction record for KSbSe2. The XRD peak list is simulated, not measured: it uses DFT lattice parameters and positions (PBE) and copper Kα.
Lines closer than 0.1° are merged.

Peak list (6 most intense, 2θ = 5–70°, by angle)
d (Å), Rel. int.
6.159, 38
3.302, 100
3.129, 54
2.336, 32
2.270, 33
1.799, 22

Crystal structure
Lattice parameters (Å, degrees): 6.6599 6.5955 13.5346 90.00 112.36 90.00
Atoms (fractional coordinates):
K (0.1359, 0.2379, 0.1203)
K (0.1359, 0.7621, 0.6203)
K (0.8641, 0.2379, 0.3797)
K (0.8641, 0.7621, 0.8797)
Sb (0.4186, 0.2980, 0.8789)
Sb (0.4186, 0.7020, 0.3789)
Sb (0.5814, 0.2980, 0.6211)
Sb (0.5814, 0.7020, 0.1211)
Se (0.2126, 0.2708, 0.6449)
Se (0.2126, 0.7292, 0.1449)
Se (0.3712, 0.3104, 0.3858)
Se (0.3712, 0.6896, 0.8858)
Se (0.6288, 0.3104, 0.1142)
Se (0.6288, 0.6896, 0.6142)
Se (0.7874, 0.2708, 0.8551)
Se (0.7874, 0.7292, 0.3551)


Diffraction record for Sr4LiY2Ru2O12. The XRD peak list is simulated, not measured: it uses DFT lattice parameters and positions (PBE) and copper Kα.
Lines closer than 0.1° are merged.

Peak list (6 most intense, 2θ = 5–70°, by angle)
d (Å), Rel. int.
2.965, 98
2.951, 90
2.936, 100
2.081, 27
2.071, 30
1.699, 37

Crystal structure
Lattice parameters (Å, degrees): 5.9119 5.9358 8.2861 89.65 89.89 89.29
Atoms (fractional coordinates):
Sr (0.0000, 0.0000, 0.0000)
Sr (0.0110, 0.9647, 0.5183)
Sr (0.5087, 0.5198, 0.0049)
Sr (0.6194, 0.5092, 0.4931)
Li (0.2258, 0.3340, 0.4827)
Y (0.0399, 0.5037, 0.7612)
Y (0.5333, 0.0105, 0.2475)
Ru (0.0435, 0.5108, 0.2415)
Ru (0.5346, 0.0087, 0.7469)
O (0.0280, 0.5670, 0.4886)
O (0.0640, 0.4272, 0.0146)
O (0.2337, 0.7837, 0.2099)
O (0.2684, 0.8066, 0.7863)
O (0.3268, 0.2706, 0.6880)
O (0.3407, 0.3318, 0.2830)
O (0.5430, 0.9330, 0.5125)
O (0.5448, 0.0840, 0.9789)
O (0.7501, 0.7471, 0.7839)
O (0.7650, 0.7070, 0.2103)
O (0.8031, 0.2154, 0.7142)
O (0.8574, 0.2310, 0.2869)


Diffraction record for CsAlSi5O12. The XRD peak list is simulated, not measured: it uses DFT lattice parameters and positions (PBE) and copper Kα.
Lines closer than 0.1° are merged.

Peak list (6 most intense, 2θ = 5–70°, by angle)
d (Å), Rel. int.
4.182, 21
3.705, 53
3.681, 100
3.489, 18
3.421, 22
3.373, 33

Crystal structure
Lattice parameters (Å, degrees): 7.4308 7.4308 17.3544 90.16 90.16 139.83
Atoms (fractional coordinates):
Cs (0.2054, 0.7946, 0.5000)
Cs (0.7946, 0.2054, 0.0000)
Al (0.8241, 0.9708, 0.4262)
Al (0.9708, 0.8241, 0.9262)
Si (0.2847, 0.7643, 0.2164)
Si (0.2848, 0.7684, 0.8218)
Si (0.3512, 0.4013, 0.8563)
Si (0.3634, 0.4134, 0.1810)
Si (0.4013, 0.3512, 0.3563)
Si (0.4134, 0.3634, 0.6810)
Si (0.7643, 0.2847, 0.7164)
Si (0.7684, 0.2848, 0.3218)
Si (0.8288, 0.9789, 0.6132)
Si (0.9789, 0.8288, 0.1132)
O (0.0603, 0.5879, 0.7496)
O (0.0643, 0.5834, 0.2864)
O (0.1058, 0.1430, 0.9120)
O (0.1395, 0.1476, 0.1213)
O (0.1430, 0.1058, 0.4120)
O (0.1476, 0.1395, 0.6213)
O (0.1801, 0.8261, 0.1506)
O (0.1963, 0.8300, 0.8914)
O (0.2866, 0.2899, 0.7664)
O (0.2899, 0.2866, 0.2664)
O (0.3202, 0.5984, 0.1711)
O (0.3346, 0.6100, 0.8606)
O (0.5586, 0.6524, 0.3801)
O (0.5834, 0.0643, 0.7864)
O (0.5879, 0.0603, 0.2496)
O (0.5984, 0.3202, 0.6711)
O (0.6064, 0.6839, 0.6601)
O (0.6100, 0.3346, 0.3606)
O (0.6524, 0.5587, 0.8801)
O (0.6839, 0.6064, 0.1601)
O (0.7405, 0.9221, 0.5244)
O (0.8261, 0.1801, 0.6506)
O (0.8300, 0.1963, 0.3914)
O (0.9221, 0.7405, 0.0244)


Diffraction record for Th2Si3Ir3. The XRD peak list is simulated, not measured: it uses DFT lattice parameters and positions (PBE) and copper Kα.
Lines closer than 0.1° are merged.

Peak list (6 most intense, 2θ = 5–70°, by angle)
d (Å), Rel. int.
6.799, 49
2.905, 100
2.550, 27
2.054, 40
1.916, 48
1.600, 27

Crystal structure
Lattice parameters (Å, degrees): 2.9049 2.9049 20.3964 90.00 90.00 90.00
Atoms (fractional coordinates):
Th (0.0000, 0.0000, 0.2408)
Th (0.0000, 0.0000, 0.7592)
Si (0.0000, 0.0000, 0.0000)
Si (0.0000, 0.0000, 0.3884)
Si (0.0000, 0.0000, 0.6116)
Ir (0.0000, 0.0000, 0.1136)
Ir (0.0000, 0.0000, 0.5000)
Ir (0.0000, 0.0000, 0.8864)